The following is a simulated XRD peak list of Ni3Pt3Rh2. It was derived from DFT lattice parameters and positions (PBE), using copper Kα.

Cell and atoms:
Cell lengths 8.1459, 8.1459, 8.1459 Å; angles 153.49, 152.87, 38.30 degrees
Fractional positions:
Ni 0.0000 0.0000 0.0000
Ni 0.3747 0.8747 0.5000
Ni 0.6253 0.1253 0.5000
Pt 0.1237 0.6237 0.5000
Pt 0.5000 0.5000 0.0000
Pt 0.8763 0.3763 0.5000
Rh 0.2512 0.2512 0.0000
Rh 0.7488 0.7488 0.0000

Most intense lines, 15 to 90 degrees two-theta, low angle first:
2theta, I_rel
24.52, 19
29.14, 11
41.14, 100
47.25, 17
47.59, 16
48.75, 15
83.64, 13
84.14, 12
85.89, 13
89.28, 11